This entry pairs a crystal structure of CePu4Pd3 with its calculated X-ray powder pattern. Radiation: Cu Ka. Structure: a GGA-PBE-relaxed structure.
Neutral-atom scattering factors, no anomalous dispersion.

Top 12 peaks for 10 to 90 degrees two-theta, low angle first:
index  d/Å  I/Imax
0 1 -2  3.886  19
0 2 -1  2.528  41
-1 1 2  2.469  100
1 1 -3  2.462  36
0 0 4  2.278  23
-1 1 3  2.107  9
2 0 -1  1.802  15
0 2 3  1.694  9
0 2 -5  1.690  15
2 2 -2  1.467  12
-1 3 1  1.448  15
1 3 -4  1.446  7

Structure:
```
CePu4Pd3
1.0
3.6040 0.0000 0.0000
-0.0011 5.0558 0.0000
-1.7693 -2.5047 9.1112
Ce Pu Pd
1 4 3
direct
0.0000 0.0000 0.0000
0.1012 0.6352 0.2696
0.3237 0.2653 0.5310
0.6763 0.7347 0.4690
0.8988 0.3648 0.7304
0.3680 0.8707 0.7431
0.5000 0.5000 0.0000
0.6320 0.1293 0.2569
```